Ba4SnN4: computed X-ray powder pattern (Cu Ka), based on a cell relaxed with GGA-PBE.
No peak broadening, texture or thermal motion is included.

Peak list (12 most intense, 15° ≤ 2θ ≤ 90°, sorted by position)
2θ/deg	I_rel	index
27.67	55	0 2 1
28.13	64	1 1 -2
28.31	100	2 0 0
28.50	30	1 1 3
30.83	49	2 2 1
32.18	46	1 -1 2
34.73	27	-1 1 3
35.15	19	2 1 3
44.50	16	1 3 -1
47.28	19	3 1 -2
49.94	12	1 0 5
51.52	11	1 0 -5

Structure:
```
Ba4SnN4
1.0
6.8704 0.0000 0.0000
2.7674 6.4652 0.0000
1.6479 2.5723 9.3869
Ba Sn N
8 2 8
Cartesian
2.9584 3.3054 1.0933
4.6902 6.8912 3.2049
3.3937 3.1358 5.0241
6.2293 8.8288 8.8183
5.0563 0.2087 0.5687
7.8919 5.9017 4.3629
6.5954 2.1463 6.1820
8.3272 5.7321 8.2936
4.9247 6.1537 6.9784
6.3610 2.8838 2.4085
3.8707 7.5383 8.3027
3.4294 5.9268 5.4574
5.4680 4.4057 8.1164
6.7224 7.1964 6.4105
4.5632 1.8411 2.9764
5.8176 4.6318 1.2705
7.8562 3.1107 3.9296
7.4149 1.4992 1.0843
```